Entry 1:
This entry pairs a crystal structure of Rb2ZnRuO4 with its theoretical X-ray diffraction stick pattern. Radiation: Cu Ka. Structure: a DFT-relaxed cell (PBE, Alexandria).

Most intense lines, 10° ≤ 2θ ≤ 80°, by angle:
3.073 Å, 2θ 29.1, I 50, hkl 2 0 0
2.830 Å, 2θ 31.6, I 100, hkl 1 1 2
2.173 Å, 2θ 41.6, I 23, hkl 2 2 0
1.724 Å, 2θ 53.1, I 44, hkl 3 1 2
1.594 Å, 2θ 57.8, I 19, hkl 2 0 4
1.415 Å, 2θ 66.0, I 11, hkl 2 2 4
1.374 Å, 2θ 68.2, I 12, hkl 4 2 0
1.350 Å, 2θ 69.6, I 10, hkl 3 3 2

Structural model:
a = 6.1464 Å, b = 6.1464 Å, c = 7.4593 Å
α = 90.00°, β = 90.00°, γ = 90.00°
Space group I-4 (No. 82)
Symmetry-distinct sites (fractional):
Rb 0.0000 0.0000 0.0000 x2
Rb 0.0000 0.5000 0.2500 x2
Zn 0.0000 0.0000 0.5000 x2
Ru 0.0000 0.5000 0.7500 x2
O 0.1253 0.2498 0.6387 x8

Entry 2:
This entry pairs a crystal structure of Sm8Dy2In with its theoretical X-ray diffraction stick pattern. Radiation: Cu Ka. Structure: a DFT-relaxed cell (PBE, Alexandria).

Most intense lines, 10° ≤ 2θ ≤ 80°, by angle:
3.511 Å, 2θ 25.4, I 12, hkl 0 2 2
2.938 Å, 2θ 30.4, I 25, hkl 1 0 5
2.892 Å, 2θ 30.9, I 16, hkl 0 0 6
2.767 Å, 2θ 32.4, I 100, hkl 1 2 3
2.758 Å, 2θ 32.5, I 31, hkl 2 0 0
1.889 Å, 2θ 48.2, I 12, hkl 0 2 8
1.594 Å, 2θ 57.8, I 19, hkl 3 2 3
1.558 Å, 2θ 59.3, I 12, hkl 2 2 8

Structural model:
a = 5.5167 Å, b = 7.6779 Å, c = 17.3536 Å
α = 90.00°, β = 90.00°, γ = 90.00°
Space group Immm (No. 71)
Symmetry-distinct sites (fractional):
Sm 0.0000 0.0000 0.1785 x4
Sm 0.0000 0.2271 0.3632 x8
Sm 0.0000 0.2607 0.0000 x4
Dy 0.0000 0.5000 0.1931 x4
In 0.0000 0.5000 0.5000 x2